The following is a simulated powder X-ray diffraction pattern of CuNi2RhO6. It was derived from DFT lattice parameters and positions (PBE+U), using CuKα.

Principal peaks in the range 2θ = 15–90°, by intensity:
two_theta	d/Å	I_rel	(hkl)
22.61	3.933	100.0	0 0 1
31.78	2.816	75.1	2 0 0
45.55	1.991	57.3	2 2 0
31.98	2.798	55.1	1 1 1
51.86	1.763	47.3	1 1 2
51.44	1.777	38.8	2 2 1

a = 5.6323 Å, b = 5.6323 Å, c = 3.9326 Å
α = 90.00°, β = 90.00°, γ = 90.00°
Space group P4mm (No. 99)
Asymmetric unit:
Cu 0.0000 0.0000 0.0000 [1 per cell]
Ni 0.0000 0.5000 0.1899 [2 per cell]
Rh 0.5000 0.5000 0.9843 [1 per cell]
O 0.0000 0.0000 0.5254 [1 per cell]
O 0.2549 0.2549 0.0900 [4 per cell]
O 0.5000 0.5000 0.5302 [1 per cell]